This entry pairs a crystal structure of Mo6PbS8 with its calculated X-ray diffraction stick pattern. Radiation: Cu Kα (weighted mean of Kα1 and Kα2). Structure: DFT lattice parameters and positions (PBE).
Peak positions follow from Bragg's law for the DFT cell and can differ from measured ones.

Top 12 peaks for 2θ = 10–90°, in order of rising 2θ:
index  2θ/deg  I/Imax
1 0 1  13.41  45
0 1 2  18.86  89
1 1 0  19.15  77
0 2 1  23.45  42
1 1 3  30.08  37
3 -1 1  30.45  100
1 2 2  33.32  52
0 1 5  40.43  61
4 -3 1  41.29  76
2 1 4  43.13  67
3 1 2  43.54  36
4 -2 3  45.63  88

Structural model:
a = 9.2692 Å, b = 9.2692 Å, c = 11.6126 Å
α = 90.00°, β = 90.00°, γ = 120.00°
Space group R-3 (No. 148, hexagonal axes)
Symmetry-distinct sites (fractional):
1 Mo 0.0132 0.1744 0.4019 [18 per cell]
2 Pb 0.0000 0.0000 0.0000 [3 per cell]
3 S 0.0000 0.0000 0.2447 [6 per cell]
4 S 0.0097 0.3755 0.2495 [18 per cell]



This entry pairs a crystal structure of Rb8N3O with its calculated X-ray diffraction stick pattern. Radiation: Cu Kα (weighted mean of Kα1 and Kα2). Structure: DFT lattice parameters and positions (PBE).
Peak positions follow from Bragg's law for the DFT cell and can differ from measured ones.

Top 11 peaks for 2θ = 10–90°, in order of rising 2θ:
index  2θ/deg  I/Imax
1 1 1  21.65  2
2 0 0  25.05  91
2 2 0  35.72  100
3 1 1  42.16  1
2 2 2  44.13  26
4 0 0  51.41  17
4 2 0  58.02  35
4 2 2  64.18  34
4 4 0  75.67  10
6 0 0  81.18  17
6 2 0  86.60  15

Structural model:
a = 7.1094 Å, b = 7.1094 Å, c = 7.1094 Å
α = 90.00°, β = 90.00°, γ = 90.00°
Space group Pm-3m (No. 221)
Symmetry-distinct sites (fractional):
1 Rb 0.2492 0.2492 0.2492 [8 per cell]
2 N 0.0000 0.5000 0.5000 [3 per cell]
3 O 0.0000 0.0000 0.0000 [1 per cell]



This entry pairs a crystal structure of Mg14NbCuO16 with its calculated X-ray diffraction stick pattern. Radiation: Cu Kα (weighted mean of Kα1 and Kα2). Structure: DFT lattice parameters and positions (PBE).
Peak positions follow from Bragg's law for the DFT cell and can differ from measured ones.

Top 12 peaks for 2θ = 10–90°, in order of rising 2θ:
index  2θ/deg  I/Imax
1 1 0  14.50  24
2 0 0  20.56  14
1 1 1  25.51  15
2 0 1  29.46  12
2 2 1  36.20  34
3 1 1  39.19  11
4 0 0  41.83  100
0 0 2  42.48  48
4 4 0  60.64  28
4 0 2  61.14  56
6 2 1  72.71  12
4 4 2  76.83  25

Structural model:
a = 8.6384 Å, b = 8.6384 Å, c = 4.2561 Å
α = 90.00°, β = 90.00°, γ = 90.00°
Space group P4/mmm (No. 123)
Symmetry-distinct sites (fractional):
1 Mg 0.0000 0.2449 0.0000 [4 per cell]
2 Mg 0.0000 0.5000 0.5000 [2 per cell]
3 Mg 0.2399 0.5000 0.0000 [4 per cell]
4 Mg 0.2421 0.2421 0.5000 [4 per cell]
5 Nb 0.5000 0.5000 0.5000 [1 per cell]
6 Cu 0.0000 0.0000 0.5000 [1 per cell]
7 O 0.0000 0.0000 0.0000 [1 per cell]
8 O 0.0000 0.2647 0.5000 [4 per cell]
9 O 0.0000 0.5000 0.0000 [2 per cell]
10 O 0.2462 0.5000 0.5000 [4 per cell]
11 O 0.2515 0.2515 0.0000 [4 per cell]
12 O 0.5000 0.5000 0.0000 [1 per cell]



This entry pairs a crystal structure of Y4ScSi10 with its calculated X-ray diffraction stick pattern. Radiation: Cu Kα (weighted mean of Kα1 and Kα2). Structure: DFT lattice parameters and positions (PBE).
Peak positions follow from Bragg's law for the DFT cell and can differ from measured ones.

Top 12 peaks for 2θ = 10–90°, in order of rising 2θ:
index  2θ/deg  I/Imax
1 0 0  25.35  25
1 0 5  34.07  100
1 1 0  44.67  37
0 0 10  45.69  11
1 0 10  52.97  7
2 0 5  57.35  21
1 1 10  65.81  20
2 0 10  71.74  4
2 1 5  75.48  18
1 0 15  76.97  7
3 0 0  82.33  6
2 1 10  88.59  4

Structural model:
a = 4.0575 Å, b = 4.0575 Å, c = 19.8568 Å
α = 90.00°, β = 90.00°, γ = 120.00°
Space group P6/mmm (No. 191)
Symmetry-distinct sites (fractional):
1 Y 0.0000 0.0000 0.1013 [2 per cell]
2 Y 0.0000 0.0000 0.3058 [2 per cell]
3 Sc 0.0000 0.0000 0.5000 [1 per cell]
4 Si 0.3333 0.6667 0.0000 [2 per cell]
5 Si 0.3333 0.6667 0.2032 [4 per cell]
6 Si 0.3333 0.6667 0.4081 [4 per cell]



This entry pairs a crystal structure of Ba6Ge5N2 with its calculated X-ray diffraction stick pattern. Radiation: Cu Kα (weighted mean of Kα1 and Kα2). Structure: DFT lattice parameters and positions (PBE).
Peak positions follow from Bragg's law for the DFT cell and can differ from measured ones.

Top 12 peaks for 2θ = 10–90°, in order of rising 2θ:
index  2θ/deg  I/Imax
1 3 1  26.89  100
0 0 3  27.49  34
0 1 3  27.90  61
0 6 0  28.07  62
1 2 2  29.47  66
0 5 2  29.70  64
1 5 0  31.56  51
1 4 2  33.76  53
0 5 3  36.35  32
2 0 0  42.67  45
1 6 3  45.29  28
1 0 5  51.71  27

Structural model:
a = 4.2382 Å, b = 19.0699 Å, c = 9.7355 Å
α = 90.00°, β = 90.00°, γ = 90.00°
Space group Pmmn (No. 59, origin choice 2)
Symmetry-distinct sites (fractional):
1 Ba 0.2500 0.0667 0.1115 [4 per cell]
2 Ba 0.2500 0.2500 0.7555 [2 per cell]
3 Ba 0.2500 0.6098 0.5356 [4 per cell]
4 Ba 0.2500 0.7500 0.8463 [2 per cell]
5 Ge 0.2500 0.0570 0.7394 [4 per cell]
6 Ge 0.2500 0.2500 0.4102 [2 per cell]
7 Ge 0.2500 0.6176 0.1537 [4 per cell]
8 N 0.2500 0.1696 0.2927 [4 per cell]



This entry pairs a crystal structure of ZrTi with its calculated X-ray diffraction stick pattern. Radiation: Cu Kα (weighted mean of Kα1 and Kα2). Structure: DFT lattice parameters and positions (PBE).
Peak positions follow from Bragg's law for the DFT cell and can differ from measured ones.

Top 12 peaks for 2θ = 10–90°, in order of rising 2θ:
index  2θ/deg  I/Imax
0 0 1  18.03  15
1 0 0  33.28  31
0 0 2  36.52  24
1 0 1  38.10  100
1 0 2  50.23  19
1 1 0  59.46  16
1 1 1  62.68  3
1 0 3  66.78  18
1 1 2  71.84  18
2 0 1  72.84  14
2 0 2  81.50  4
1 0 4  87.10  4

Structural model:
a = 3.1090 Å, b = 3.1090 Å, c = 4.9205 Å
α = 90.00°, β = 90.00°, γ = 120.00°
Space group P-6m2 (No. 187)
Symmetry-distinct sites (fractional):
1 Zr 0.0000 0.0000 0.0000 [1 per cell]
2 Ti 0.3333 0.6667 0.5000 [1 per cell]